Calculated powder X-ray diffraction pattern
Compound: Pu2NpAs3
Radiation: Cu Kα
Structure: the GGA-PBE geometry in Alexandria

a b c (Å): 4.1280 5.8410 12.4018
angles (deg): 90.00 90.00 90.00
Fractional coordinates of all 12 atoms:
Pu (0.0000, 0.0000, 0.1672)
Pu (0.0000, 0.0000, 0.8328)
Pu (0.5000, 0.5000, 0.3328)
Pu (0.5000, 0.5000, 0.6672)
Np (0.0000, 0.0000, 0.5000)
Np (0.5000, 0.5000, 0.0000)
As (0.0000, 0.5000, 0.1647)
As (0.0000, 0.5000, 0.5000)
As (0.0000, 0.5000, 0.8353)
As (0.5000, 0.0000, 0.0000)
As (0.5000, 0.0000, 0.3353)
As (0.5000, 0.0000, 0.6647)

Top 6 peaks for 2θ = 5–70°, in order of rising 2θ:
2θ = 26.43°, intensity 47.2; 2θ = 30.61°, intensity 100.0; 2θ = 43.83°, intensity 76.0; 2θ = 51.91°, intensity 24.3; 2θ = 54.41°, intensity 27.1; 2θ = 63.72°, intensity 12.7

=====

Calculated powder X-ray diffraction pattern
Compound: Ba2MgIn6Bi
Radiation: Cu Kα
Structure: the GGA-PBE geometry in Alexandria

a b c (Å): 6.1250 7.8902 7.9798
angles (deg): 69.60 67.54 67.37
Fractional coordinates of all 10 atoms:
Ba (0.0046, 0.2332, 0.2562)
Ba (0.9954, 0.7668, 0.7438)
Mg (0.5000, 0.5000, 0.0000)
In (0.0123, 0.6775, 0.2970)
In (0.3148, 0.9307, 0.9440)
In (0.4888, 0.3250, 0.6984)
In (0.5112, 0.6750, 0.3016)
In (0.6852, 0.0693, 0.0560)
In (0.9877, 0.3225, 0.7030)
Bi (0.5000, 0.0000, 0.5000)

Top 6 peaks for 2θ = 5–70°, in order of rising 2θ:
2θ = 25.58°, intensity 66.0; 2θ = 30.51°, intensity 70.7; 2θ = 31.04°, intensity 100.0; 2θ = 33.08°, intensity 74.7; 2θ = 33.74°, intensity 90.2; 2θ = 34.10°, intensity 89.4

=====

Calculated powder X-ray diffraction pattern
Compound: Ni3Mo2Rh3
Radiation: Cu Kα
Structure: the GGA-PBE geometry in Alexandria

a b c (Å): 4.7844 4.7844 4.7844
angles (deg): 93.64 93.64 93.64
Fractional coordinates of all 8 atoms:
Ni (0.0000, 0.2746, 0.7254)
Ni (0.2746, 0.7254, 0.0000)
Ni (0.7254, 0.0000, 0.2746)
Mo (0.2457, 0.2457, 0.2457)
Mo (0.7543, 0.7543, 0.7543)
Rh (0.2214, 0.7786, 0.5000)
Rh (0.5000, 0.2214, 0.7786)
Rh (0.7786, 0.5000, 0.2214)

Top 6 peaks for 2θ = 5–70°, in order of rising 2θ:
2θ = 37.77°, intensity 58.2; 2θ = 41.21°, intensity 51.7; 2θ = 43.62°, intensity 100.0; 2θ = 45.00°, intensity 82.6; 2θ = 46.14°, intensity 50.7; 2θ = 49.44°, intensity 20.6

=====

Calculated powder X-ray diffraction pattern
Compound: RbNpCu2S4
Radiation: Cu Kα
Structure: the GGA-PBE geometry in Alexandria

a b c (Å): 6.4864 7.8080 8.6702
angles (deg): 90.00 90.00 90.00
Fractional coordinates of all 16 atoms:
Rb (0.0000, 0.0000, 0.0000)
Rb (0.5000, 0.5000, 0.5000)
Np (0.0000, 0.0000, 0.5000)
Np (0.5000, 0.5000, 0.0000)
Cu (0.0000, 0.5000, 0.1451)
Cu (0.0000, 0.5000, 0.8549)
Cu (0.5000, 0.0000, 0.3549)
Cu (0.5000, 0.0000, 0.6451)
S (0.2397, 0.1687, 0.3244)
S (0.2397, 0.8313, 0.6756)
S (0.2603, 0.3313, 0.8244)
S (0.2603, 0.6687, 0.1756)
S (0.7397, 0.3313, 0.1756)
S (0.7397, 0.6687, 0.8244)
S (0.7603, 0.1687, 0.6756)
S (0.7603, 0.8313, 0.3244)

Top 6 peaks for 2θ = 5–70°, in order of rising 2θ:
2θ = 15.27°, intensity 99.1; 2θ = 17.78°, intensity 34.2; 2θ = 22.78°, intensity 43.2; 2θ = 27.25°, intensity 100.0; 2θ = 36.00°, intensity 55.9; 2θ = 45.63°, intensity 38.1

=====

Calculated powder X-ray diffraction pattern
Compound: NaSnO
Radiation: Cu Kα
Structure: the GGA-PBE geometry in Alexandria

a b c (Å): 4.3432 4.3432 6.5525
angles (deg): 90.00 90.00 90.00
Fractional coordinates of all 6 atoms:
Na (0.2500, 0.7500, 0.0000)
Na (0.7500, 0.2500, 0.0000)
Sn (0.2500, 0.2500, 0.4454)
Sn (0.7500, 0.7500, 0.5546)
O (0.2500, 0.2500, 0.1396)
O (0.7500, 0.7500, 0.8604)

Top 6 peaks for 2θ = 5–70°, in order of rising 2θ:
2θ = 13.51°, intensity 69.1; 2θ = 24.59°, intensity 35.9; 2θ = 27.22°, intensity 31.2; 2θ = 29.08°, intensity 51.4; 2θ = 32.19°, intensity 100.0; 2θ = 41.59°, intensity 39.8

=====

Calculated powder X-ray diffraction pattern
Compound: CaCd2Hg6
Radiation: Cu Kα
Structure: the GGA-PBE geometry in Alexandria

a b c (Å): 8.8882 8.8882 6.3036
angles (deg): 104.25 104.25 91.97
Fractional coordinates of all 18 atoms:
Ca (0.1196, 0.8804, 0.7500)
Ca (0.8804, 0.1196, 0.2500)
Cd (0.3258, 0.3511, 0.6401)
Cd (0.3511, 0.3258, 0.1401)
Cd (0.6489, 0.6742, 0.8599)
Cd (0.6742, 0.6489, 0.3599)
Hg (0.0292, 0.2328, 0.8013)
Hg (0.0497, 0.4523, 0.2808)
Hg (0.2328, 0.0292, 0.3013)
Hg (0.3154, 0.6410, 0.9970)
Hg (0.3590, 0.6846, 0.5030)
Hg (0.4523, 0.0497, 0.7808)
Hg (0.5477, 0.9503, 0.2192)
Hg (0.6410, 0.3154, 0.4970)
Hg (0.6846, 0.3590, 0.0030)
Hg (0.7672, 0.9708, 0.6987)
Hg (0.9503, 0.5477, 0.7192)
Hg (0.9708, 0.7672, 0.1987)

Top 6 peaks for 2θ = 5–70°, in order of rising 2θ:
2θ = 31.31°, intensity 61.4; 2θ = 32.01°, intensity 100.0; 2θ = 32.47°, intensity 94.5; 2θ = 34.07°, intensity 60.3; 2θ = 35.56°, intensity 78.5; 2θ = 38.92°, intensity 55.9

=====

Calculated powder X-ray diffraction pattern
Compound: Pr4Ga16Fe3
Radiation: Cu Kα
Structure: the GGA-PBE geometry in Alexandria

a b c (Å): 6.1412 6.1412 11.4636
angles (deg): 90.00 90.00 90.00
Fractional coordinates of all 23 atoms:
Pr (0.0000, 0.5000, 0.1952)
Pr (0.0000, 0.5000, 0.8048)
Pr (0.5000, 0.0000, 0.1952)
Pr (0.5000, 0.0000, 0.8048)
Ga (0.0000, 0.0000, 0.1982)
Ga (0.0000, 0.0000, 0.8018)
Ga (0.2185, 0.2185, 0.0000)
Ga (0.2185, 0.7815, 0.0000)
Ga (0.2533, 0.2533, 0.3889)
Ga (0.2533, 0.2533, 0.6111)
Ga (0.2533, 0.7467, 0.3889)
Ga (0.2533, 0.7467, 0.6111)
Ga (0.5000, 0.5000, 0.2166)
Ga (0.5000, 0.5000, 0.7834)
Ga (0.7467, 0.2533, 0.3889)
Ga (0.7467, 0.2533, 0.6111)
Ga (0.7467, 0.7467, 0.3889)
Ga (0.7467, 0.7467, 0.6111)
Ga (0.7815, 0.2185, 0.0000)
Ga (0.7815, 0.7815, 0.0000)
Fe (0.0000, 0.5000, 0.5000)
Fe (0.5000, 0.0000, 0.5000)
Fe (0.5000, 0.5000, 0.0000)

Top 6 peaks for 2θ = 5–70°, in order of rising 2θ:
2θ = 33.10°, intensity 63.6; 2θ = 37.58°, intensity 100.0; 2θ = 39.30°, intensity 33.4; 2θ = 41.59°, intensity 75.7; 2θ = 58.55°, intensity 38.5; 2θ = 60.28°, intensity 23.4

=====

Calculated powder X-ray diffraction pattern
Compound: RbZr5Se8
Radiation: Cu Kα
Structure: the GGA-PBE geometry in Alexandria

a b c (Å): 9.9738 9.9738 9.8515
angles (deg): 104.11 104.11 21.84
Fractional coordinates of all 14 atoms:
Rb (0.0000, 0.0000, 0.0000)
Zr (0.1632, 0.1632, 0.4997)
Zr (0.2082, 0.2082, 0.8525)
Zr (0.5000, 0.5000, 0.5000)
Zr (0.7918, 0.7918, 0.1475)
Zr (0.8368, 0.8368, 0.5003)
Se (0.0749, 0.0749, 0.6731)
Se (0.2543, 0.2543, 0.3249)
Se (0.3423, 0.3423, 0.0011)
Se (0.4112, 0.4112, 0.6747)
Se (0.5888, 0.5888, 0.3253)
Se (0.6577, 0.6577, 0.9989)
Se (0.7457, 0.7457, 0.6751)
Se (0.9251, 0.9251, 0.3269)

Top 6 peaks for 2θ = 5–70°, in order of rising 2θ:
2θ = 9.29°, intensity 52.7; 2θ = 29.76°, intensity 51.9; 2θ = 30.21°, intensity 100.0; 2θ = 31.30°, intensity 43.6; 2θ = 36.97°, intensity 70.7; 2θ = 48.27°, intensity 65.6

=====

Calculated powder X-ray diffraction pattern
Compound: Ag5Te2PS4
Radiation: Cu Kα
Structure: the GGA-PBE geometry in Alexandria

a b c (Å): 8.1739 6.4679 6.4679
angles (deg): 124.29 90.00 90.00
Fractional coordinates of all 12 atoms:
Ag (0.0000, 0.0000, 0.0000)
Ag (0.2946, 0.3017, 0.6809)
Ag (0.2946, 0.6809, 0.3017)
Ag (0.7054, 0.3017, 0.6809)
Ag (0.7054, 0.6809, 0.3017)
Te (0.0000, 0.5342, 0.9471)
Te (0.0000, 0.9471, 0.5342)
P (0.5000, 0.0755, 0.0755)
S (0.2886, 0.2665, 0.2665)
S (0.5000, 0.0194, 0.7246)
S (0.5000, 0.7246, 0.0194)
S (0.7114, 0.2665, 0.2665)

Top 6 peaks for 2θ = 5–70°, in order of rising 2θ:
2θ = 15.50°, intensity 66.9; 2θ = 27.47°, intensity 71.9; 2θ = 27.66°, intensity 100.0; 2θ = 35.34°, intensity 52.8; 2θ = 40.33°, intensity 94.7; 2θ = 48.00°, intensity 40.8

=====

Calculated powder X-ray diffraction pattern
Compound: Cs3Hg6Pd2
Radiation: Cu Kα
Structure: the GGA-PBE geometry in Alexandria

a b c (Å): 15.3240 15.3240 15.3240
angles (deg): 159.53 159.53 29.11
Fractional coordinates of all 11 atoms:
Cs (0.0000, 0.0000, 0.0000)
Cs (0.1836, 0.1836, 0.0000)
Cs (0.8164, 0.8164, 0.0000)
Hg (0.0919, 0.5919, 0.5000)
Hg (0.3167, 0.3167, 0.0000)
Hg (0.4081, 0.9081, 0.5000)
Hg (0.5919, 0.0919, 0.5000)
Hg (0.6833, 0.6833, 0.0000)
Hg (0.9081, 0.4081, 0.5000)
Pd (0.4086, 0.4086, 0.0000)
Pd (0.5914, 0.5914, 0.0000)

Top 6 peaks for 2θ = 5–70°, in order of rising 2θ:
2θ = 11.93°, intensity 51.3; 2θ = 23.87°, intensity 33.5; 2θ = 29.40°, intensity 100.0; 2θ = 32.89°, intensity 83.0; 2θ = 45.20°, intensity 38.4; 2θ = 56.59°, intensity 32.7

=====

Calculated powder X-ray diffraction pattern
Compound: Ac5Pb
Radiation: Cu Kα
Structure: the GGA-PBE geometry in Alexandria

a b c (Å): 5.3832 16.9587 5.3990
angles (deg): 90.00 90.00 90.00
Fractional coordinates of all 12 atoms:
Ac (0.0000, 0.0000, 0.0000)
Ac (0.0000, 0.1629, 0.5000)
Ac (0.0000, 0.3387, 0.0000)
Ac (0.0000, 0.6613, 0.0000)
Ac (0.0000, 0.8371, 0.5000)
Ac (0.5000, 0.1613, 0.0000)
Ac (0.5000, 0.3371, 0.5000)
Ac (0.5000, 0.5000, 0.0000)
Ac (0.5000, 0.6629, 0.5000)
Ac (0.5000, 0.8387, 0.0000)
Pb (0.0000, 0.5000, 0.5000)
Pb (0.5000, 0.0000, 0.5000)

Top 6 peaks for 2θ = 5–70°, in order of rising 2θ:
2θ = 28.24°, intensity 100.0; 2θ = 31.66°, intensity 18.4; 2θ = 33.19°, intensity 16.6; 2θ = 33.29°, intensity 16.5; 2θ = 46.56°, intensity 26.0; 2θ = 54.31°, intensity 16.2

=====

Calculated powder X-ray diffraction pattern
Compound: GaBrF3
Radiation: Cu Kα
Structure: the GGA-PBE geometry in Alexandria

a b c (Å): 5.1726 5.0091 6.4140
angles (deg): 90.00 90.11 90.00
Fractional coordinates of all 10 atoms:
Ga (0.2500, 0.0000, 0.0098)
Ga (0.7500, 0.5000, 0.9902)
Br (0.2491, 0.7523, 0.6636)
Br (0.7509, 0.2523, 0.3364)
F (0.0013, 0.7420, 0.1073)
F (0.2509, 0.1898, 0.2676)
F (0.4990, 0.7418, 0.1076)
F (0.5010, 0.2418, 0.8924)
F (0.7491, 0.6898, 0.7324)
F (0.9987, 0.2420, 0.8927)

Top 6 peaks for 2θ = 5–70°, in order of rising 2θ:
2θ = 13.81°, intensity 67.7; 2θ = 22.52°, intensity 49.0; 2θ = 24.74°, intensity 100.0; 2θ = 28.44°, intensity 88.1; 2θ = 33.17°, intensity 58.2; 2θ = 41.75°, intensity 56.9

=====

Calculated powder X-ray diffraction pattern
Compound: ScAlFe
Radiation: Cu Kα
Structure: the GGA-PBE geometry in Alexandria

a b c (Å): 5.1438 5.2409 7.0641
angles (deg): 90.00 90.00 90.00
Fractional coordinates of all 12 atoms:
Sc (0.0000, 0.2500, 0.1132)
Sc (0.0000, 0.7500, 0.8868)
Sc (0.5000, 0.2500, 0.3868)
Sc (0.5000, 0.7500, 0.6132)
Al (0.0000, 0.0000, 0.5000)
Al (0.0000, 0.5000, 0.5000)
Al (0.5000, 0.0000, 0.0000)
Al (0.5000, 0.5000, 0.0000)
Fe (0.2500, 0.2500, 0.7500)
Fe (0.2500, 0.7500, 0.2500)
Fe (0.7500, 0.2500, 0.7500)
Fe (0.7500, 0.7500, 0.2500)

Top 6 peaks for 2θ = 5–70°, in order of rising 2θ:
2θ = 35.26°, intensity 39.5; 2θ = 40.70°, intensity 49.0; 2θ = 41.13°, intensity 100.0; 2θ = 42.07°, intensity 56.2; 2θ = 42.98°, intensity 35.8; 2θ = 43.53°, intensity 46.7

=====

Calculated powder X-ray diffraction pattern
Compound: Ac3Pr2Y7
Radiation: Cu Kα
Structure: the GGA-PBE geometry in Alexandria

a b c (Å): 3.7353 5.9232 19.7758
angles (deg): 87.05 84.61 90.00
Fractional coordinates of all 12 atoms:
Ac (0.0000, 0.0000, 0.0000)
Ac (0.3218, 0.2745, 0.3580)
Ac (0.6782, 0.7255, 0.6420)
Pr (0.1419, 0.2138, 0.7140)
Pr (0.8581, 0.7862, 0.2860)
Y (0.0831, 0.6976, 0.8308)
Y (0.2288, 0.2427, 0.5428)
Y (0.4300, 0.8045, 0.1418)
Y (0.5000, 0.5000, 0.0000)
Y (0.5700, 0.1955, 0.8582)
Y (0.7712, 0.7573, 0.4572)
Y (0.9169, 0.3024, 0.1692)

Top 6 peaks for 2θ = 5–70°, in order of rising 2θ:
2θ = 13.51°, intensity 47.6; 2θ = 28.29°, intensity 88.7; 2θ = 30.33°, intensity 51.7; 2θ = 30.80°, intensity 100.0; 2θ = 31.89°, intensity 49.3; 2θ = 32.11°, intensity 75.7